Diffraction record for ZrTaS3. The X-ray powder pattern is simulated, not measured: it uses DFT lattice parameters and positions (PBE) and Cu Kα (weighted mean of Kα1 and Kα2).
No peak broadening, texture or thermal motion is included.

Structural model:
Cell: 9.8345 9.8345 6.3287 Å, 90.00 90.00 159.73°
Element x y z (fractional)
Zr 0.1632 0.8368 0.5000
Zr 0.8368 0.1632 0.0000
Ta 0.3353 0.6647 0.5850
Ta 0.6647 0.3353 0.0850
S 0.1043 0.8957 0.8784
S 0.2525 0.7475 0.1988
S 0.4214 0.5786 0.8626
S 0.5786 0.4214 0.3626
S 0.7475 0.2525 0.6988
S 0.8957 0.1043 0.3784

Most intense lines, 2θ from 10° to 90°, by angle:
two_theta	d/Å	I (rel.)
16.74	5.297	39
18.33	4.840	46
27.64	3.227	21
28.20	3.164	21
29.76	3.002	100
37.64	2.390	81
39.90	2.260	45
41.10	2.196	27
44.29	2.045	46
50.91	1.794	26